[1]
This entry pairs a crystal structure of Ho3Mg3ZnAgPd with its theoretical powder diffraction line list. Radiation: Cu Ka. Structure: a structure optimized by DFT (GGA-PBE).

Atomic structure:
```
data_Ho3Mg3ZnAgPd
_chemical_formula_sum 'Ho3 Mg3 Zn1 Ag1 Pd1'
_space_group_name_H-M_alt 'P -6'
_space_group_IT_number 174
_cell_length_a 7.6095
_cell_length_b 7.6095
_cell_length_c 4.0357
_cell_angle_alpha 90.00
_cell_angle_beta 90.00
_cell_angle_gamma 120.00
loop_
_space_group_symop_operation_xyz
'x,y,z'
'-x+y,-x,-z'
'-y,x-y,z'
'x,y,-z'
'-x+y,-x,z'
'-y,x-y,-z'
loop_
_atom_site_label
_atom_site_fract_x
_atom_site_fract_y
_atom_site_fract_z
Ho1 0.0137 0.4235 0.0000
Mg1 0.2514 0.2483 0.5000
Zn1 0.6667 0.3333 0.5000
Ag1 0.0000 0.0000 0.0000
Pd1 0.3333 0.6667 0.5000
```

Most intense lines, 2θ from 15° to 90°, low angle first:
d 4.036, I = 206, (0 0 1)
d 3.805, I = 312, (1 1 0)
d 3.295, I = 330, (2 0 0)
d 2.768, I = 747, (1 1 1)
d 2.552, I = 1000, (2 0 1)
d 2.491, I = 247, (2 1 0)
d 2.197, I = 241, (3 0 0)
d 2.120, I = 251, (2 1 1)
d 1.828, I = 214, (1 3 0)
d 1.665, I = 262, (1 3 1)
d 1.416, I = 223, (3 2 1)
d 1.355, I = 210, (1 3 2)



[2]
This entry pairs a crystal structure of Ho3Mg3AgPt2 with its theoretical powder diffraction line list. Radiation: Cu Ka. Structure: a structure optimized by DFT (GGA-PBE).

Atomic structure:
```
data_Ho3Mg3AgPt2
_chemical_formula_sum 'Ho3 Mg3 Ag1 Pt2'
_space_group_name_H-M_alt 'P -6 2 m'
_space_group_IT_number 189
_space_group_name_Hall 'P -6 -2'
_cell_length_a 7.5211
_cell_length_b 7.5211
_cell_length_c 3.9898
_cell_angle_alpha 90.00
_cell_angle_beta 90.00
_cell_angle_gamma 120.00
loop_
_atom_site_label
_atom_site_fract_x
_atom_site_fract_y
_atom_site_fract_z
Ho1 0.0000 0.4189 0.0000
Mg1 0.0000 0.7463 0.5000
Ag1 0.0000 0.0000 0.0000
Pt1 0.3333 0.6667 0.5000
```

Most intense lines, 2θ from 15° to 90°, low angle first:
d 3.761, I = 425, (1 1 0)
d 2.737, I = 903, (1 1 1)
d 2.523, I = 1000, (2 0 1)
d 2.462, I = 216, (2 1 0)
d 2.171, I = 336, (3 0 0)
d 2.095, I = 264, (2 1 1)
d 1.995, I = 215, (0 0 2)
d 1.807, I = 194, (3 1 0)
d 1.646, I = 189, (3 1 1)
d 1.469, I = 193, (3 0 2)
d 1.399, I = 222, (3 2 1)
d 1.339, I = 253, (3 1 2)